No. 1
Structure and simulated XRD peak list of BiSeO5 (DFT lattice parameters and positions (PBE); a wavelength of 1.5418 Å).

Cell lengths 5.7183, 5.9337, 8.0609 Å; angles 69.21, 69.77, 88.48 degrees
Space group P-1 (No. 2)
Unique sites:
Bi1 0.0000 0.0000 0.0000 (multiplicity 1)
Bi2 0.0000 0.0000 0.5000 (multiplicity 1)
Se1 0.4007 0.6230 0.2414 (multiplicity 2)
O1 0.0935 0.9394 0.7549 (multiplicity 2)
O2 0.2835 0.3418 0.8459 (multiplicity 2)
O3 0.2904 0.7307 0.4167 (multiplicity 2)
O4 0.3077 0.7642 0.0555 (multiplicity 2)
O5 0.3218 0.3263 0.3224 (multiplicity 2)

Most intense lines, 5 to 70 degrees two-theta, by angle:
h k l  2θ/deg  Rel. int.
0 1 0  16.07  30
1 0 0  16.62  23
1 -1 0  21.88  39
1 1 0  24.48  100
1 0 2  24.82  44
0 0 2  25.33  16
1 -2 0  34.96  26
2 1 2  35.28  23
2 -1 0  35.76  14
2 2 0  50.17  14

No. 2
Structure and simulated XRD peak list of ZnGeAu4 (DFT lattice parameters and positions (PBE); a wavelength of 1.5418 Å).

Cell lengths 3.2407, 18.6559, 7.2738 Å; angles 90.00, 90.00, 90.00 degrees
Space group Cmc2_1 (No. 36)
Unique sites:
Zn1 0.0000 0.1940 0.0000 (multiplicity 4)
Ge1 0.0000 0.4384 0.0930 (multiplicity 4)
Au1 0.0000 0.0411 0.3036 (multiplicity 4)
Au2 0.0000 0.3076 0.2037 (multiplicity 4)
Au3 0.0000 0.3212 0.8048 (multiplicity 4)
Au4 0.0000 0.4212 0.4796 (multiplicity 4)

Most intense lines, 5 to 70 degrees two-theta, by angle:
h k l  2θ/deg  Rel. int.
1 3 0  31.13  65
1 3 1  33.53  54
0 6 2  38.08  36
0 2 3  38.36  64
0 8 0  38.61  57
1 5 1  38.83  53
1 3 2  39.98  100
0 8 1  40.63  28
1 5 2  44.64  62
2 0 0  56.82  30

No. 3
Structure and simulated XRD peak list of Pu2ZnOs3 (DFT lattice parameters and positions (PBE); a wavelength of 1.5418 Å).

Cell lengths 5.3576, 5.3576, 12.9733 Å; angles 90.00, 90.00, 120.00 degrees
Space group R-3m (No. 166, hexagonal axes)
Unique sites:
Pu1 0.0000 0.0000 0.1213 (multiplicity 6)
Zn1 0.0000 0.0000 0.5000 (multiplicity 3)
Os1 0.0000 0.5000 0.0000 (multiplicity 9)

Most intense lines, 5 to 70 degrees two-theta, by angle:
h k l  2θ/deg  Rel. int.
1 1 0  33.45  28
1 0 4  33.72  75
0 2 1  39.46  100
1 1 3  39.57  93
0 1 5  39.80  56
2 0 2  41.33  55
2 1 4  59.97  30
3 0 3  63.93  23
1 2 5  64.09  28
0 2 7  64.34  21

No. 4
Structure and simulated XRD peak list of SmCdTc2O8 (DFT lattice parameters and positions (PBE); a wavelength of 1.5418 Å).

Cell lengths 5.2533, 5.2533, 11.5396 Å; angles 90.00, 90.00, 90.00 degrees
Space group I-4 (No. 82)
Unique sites:
Sm1 0.0000 0.0000 0.0000 (multiplicity 2)
Cd1 0.0000 0.5000 0.7500 (multiplicity 2)
Tc1 0.0000 0.0000 0.5000 (multiplicity 2)
Tc2 0.0000 0.5000 0.2500 (multiplicity 2)
O1 0.1581 0.7487 0.1664 (multiplicity 8)
O2 0.1619 0.2510 0.5812 (multiplicity 8)

Most intense lines, 5 to 70 degrees two-theta, by angle:
h k l  2θ/deg  Rel. int.
1 0 1  18.56  2
1 1 2  28.58  100
0 0 4  31.00  15
2 0 0  34.14  20
2 1 1  39.13  3
2 0 4  46.77  30
2 2 0  49.05  14
1 1 6  53.66  17
1 3 2  57.75  27
2 2 4  59.16  11

No. 5
Structure and simulated XRD peak list of K2PmBr4 (DFT lattice parameters and positions (PBE); a wavelength of 1.5418 Å).

Cell lengths 5.7618, 5.7618, 16.9498 Å; angles 90.00, 90.00, 90.00 degrees
Space group I4/mmm (No. 139)
Unique sites:
K1 0.0000 0.0000 0.1375 (multiplicity 4)
Pm1 0.0000 0.0000 0.5000 (multiplicity 2)
Br1 0.0000 0.0000 0.3274 (multiplicity 4)
Br2 0.0000 0.5000 0.0000 (multiplicity 4)

Most intense lines, 5 to 70 degrees two-theta, by angle:
h k l  2θ/deg  Rel. int.
0 0 2  10.44  86
1 0 1  16.25  88
1 1 0  21.81  42
1 0 5  30.60  54
2 0 0  31.04  100
0 0 6  31.67  39
2 1 5  44.15  39
2 2 0  44.47  36
2 0 6  44.94  58
2 2 6  55.62  31

No. 6
Structure and simulated XRD peak list of HoI4N2 (DFT lattice parameters and positions (PBE); a wavelength of 1.5418 Å).

Cell lengths 3.9126, 8.2870, 8.3454 Å; angles 105.85, 103.19, 103.46 degrees
Space group P-1 (No. 2)
Unique sites:
Ho1 0.0000 0.0000 0.0000 (multiplicity 1)
I1 0.2548 0.7446 0.7548 (multiplicity 2)
I2 0.4941 0.2359 0.7498 (multiplicity 2)
N1 0.0046 0.8280 0.1825 (multiplicity 2)

Most intense lines, 5 to 70 degrees two-theta, by angle:
h k l  2θ/deg  Rel. int.
0 1 0  11.65  100
0 0 2  23.32  39
0 2 0  23.52  37
0 2 -2  26.87  89
1 -1 1  28.05  26
1 -2 0  28.22  90
1 0 1  30.49  30
-1 1 2  30.78  51
1 2 -1  36.29  33
0 2 2  38.88  37

No. 7
Structure and simulated XRD peak list of Tb8Th4Mg (DFT lattice parameters and positions (PBE); a wavelength of 1.5418 Å).

Cell lengths 7.3315, 7.3315, 27.0633 Å; angles 90.00, 90.00, 120.00 degrees
Space group R-3m (No. 166, hexagonal axes)
Unique sites:
Tb1 0.0000 0.0000 0.2194 (multiplicity 6)
Tb2 0.0297 0.5149 0.7667 (multiplicity 18)
Th1 0.0000 0.0000 0.0000 (multiplicity 3)
Th2 0.0000 0.5000 0.0000 (multiplicity 9)
Mg1 0.0000 0.0000 0.5000 (multiplicity 3)

Most intense lines, 5 to 70 degrees two-theta, by angle:
h k l  2θ/deg  Rel. int.
0 0 3  9.80  18
0 2 1  28.30  34
0 0 9  29.71  36
0 2 4  31.12  100
2 0 5  32.70  56
2 0 8  38.90  33
2 2 0  49.75  30
0 2 13  52.57  23
2 2 9  59.02  30
4 0 4  59.86  17

No. 8
Structure and simulated XRD peak list of ThPaCo3 (DFT lattice parameters and positions (PBE); a wavelength of 1.5418 Å).

Cell lengths 3.8620, 23.0624, 4.0573 Å; angles 90.00, 90.00, 90.00 degrees
Space group Cmcm (No. 63)
Unique sites:
Th1 0.0000 0.0724 0.2500 (multiplicity 4)
Pa1 0.0000 0.2029 0.7500 (multiplicity 4)
Co1 0.0000 0.3095 0.7500 (multiplicity 4)
Co2 0.0000 0.3732 0.2500 (multiplicity 4)
Co3 0.0000 0.4745 0.2500 (multiplicity 4)

Most intense lines, 5 to 70 degrees two-theta, by angle:
h k l  2θ/deg  Rel. int.
0 4 1  26.87  46
0 8 0  31.02  17
1 3 1  34.11  100
1 7 0  35.83  45
0 0 2  44.67  23
0 10 1  45.23  19
2 0 0  47.06  19
1 11 1  54.71  18
2 4 1  55.02  14
1 7 2  58.53  22

No. 9
Structure and simulated XRD peak list of YHf2As (DFT lattice parameters and positions (PBE); a wavelength of 1.5418 Å).

Cell lengths 8.2454, 8.2454, 5.7440 Å; angles 90.00, 90.00, 90.00 degrees
Space group I-42d (No. 122)
Unique sites:
Y1 0.0000 0.0000 0.0000 (multiplicity 4)
Hf1 0.1869 0.2500 0.6250 (multiplicity 8)
As1 0.0000 0.0000 0.5000 (multiplicity 4)

Most intense lines, 5 to 70 degrees two-theta, by angle:
h k l  2θ/deg  Rel. int.
2 0 0  21.55  20
2 1 1  28.77  53
2 2 0  30.67  91
1 1 2  34.82  100
3 2 1  42.55  34
4 0 0  43.92  23
3 1 2  47.07  51
4 1 1  48.18  21
4 3 1  58.20  25
2 0 4  69.29  22

No. 10
Structure and simulated XRD peak list of Cs4K2AgHg2 (DFT lattice parameters and positions (PBE); a wavelength of 1.5418 Å).

Cell lengths 7.0034, 8.6904, 10.6608 Å; angles 94.93, 104.67, 109.21 degrees
Space group P-1 (No. 2)
Unique sites:
Cs1 0.0122 0.2954 0.1050 (multiplicity 2)
Cs2 0.2080 0.3148 0.6457 (multiplicity 2)
K1 0.4766 0.0720 0.2996 (multiplicity 2)
Ag1 0.5000 0.5000 0.0000 (multiplicity 1)
Hg1 0.4109 0.1446 0.9634 (multiplicity 2)

Most intense lines, 5 to 70 degrees two-theta, by angle:
h k l  2θ/deg  Rel. int.
0 0 1  8.73  100
1 0 -1  14.14  30
1 1 0  20.79  27
-1 1 2  20.92  16
1 -1 2  24.34  18
-2 1 1  25.61  35
1 0 -3  25.92  16
2 -2 1  31.53  13
1 -1 3  32.09  16
1 0 -4  33.95  19

No. 11
Structure and simulated XRD peak list of Cu2SnS4 (DFT lattice parameters and positions (PBE); a wavelength of 1.5418 Å).

Cell lengths 6.4370, 7.7961, 11.0883 Å; angles 90.00, 90.00, 90.00 degrees
Space group Cccm (No. 66)
Unique sites:
Cu1 0.0745 0.1514 0.0000 (multiplicity 8)
Sn1 0.0000 0.5000 0.2500 (multiplicity 4)
S1 0.2130 0.3835 0.5000 (multiplicity 8)
S2 0.2500 0.2500 0.1671 (multiplicity 8)

Most intense lines, 5 to 70 degrees two-theta, by angle:
h k l  2θ/deg  Rel. int.
1 1 2  24.06  100
0 2 2  27.98  16
0 0 4  32.29  31
2 2 1  37.13  22
1 3 0  37.32  26
2 2 2  39.79  29
3 1 2  46.87  14
0 4 2  49.58  22
1 3 4  50.16  22
3 1 3  50.56  17

No. 12
Structure and simulated XRD peak list of NaCdGePb (DFT lattice parameters and positions (PBE); a wavelength of 1.5418 Å).

Cell lengths 7.3255, 7.3255, 7.3255 Å; angles 90.00, 90.00, 90.00 degrees
Space group F-43m (No. 216)
Unique sites:
Na1 0.0000 0.0000 0.0000 (multiplicity 4)
Cd1 0.0000 0.0000 0.5000 (multiplicity 4)
Ge1 0.2500 0.2500 0.2500 (multiplicity 4)
Pb1 0.2500 0.2500 0.7500 (multiplicity 4)

Most intense lines, 5 to 70 degrees two-theta, by angle:
h k l  2θ/deg  Rel. int.
1 1 1  21.00  32
2 0 0  24.30  13
2 2 0  34.63  100
3 1 1  40.86  18
2 2 2  42.76  4
4 0 0  49.79  18
3 3 1  54.61  8
4 2 0  56.15  6
4 2 2  62.07  36
5 1 1  66.30  6